Record 1
# HfTi4Sb4
Calculated powder X-ray diffraction pattern, a wavelength of 1.5418 Å. Input: a crystal structure in Alexandria, relaxed with GGA-PBE.

Peak list (6 most intense, 5° ≤ 2θ ≤ 70°, low angle first)
| two_theta | d (Å) | I_rel | index |
| --- | --- | --- | --- |
| 19.3 | 4.607 | 100.0 | 1 0 1 |
| 31.1 | 2.876 | 87.5 | 1 3 0 |
| 33.5 | 2.672 | 67.2 | 0 0 2 |
| 39.5 | 2.281 | 99.9 | 2 3 1 |
| 44.4 | 2.039 | 79.2 | 4 1 1 |
| 46.4 | 1.957 | 56.9 | 1 3 2 |

Structure:
Unit cell a=9.094 b=9.094 c=5.344 alpha=90.00 beta=90.00 gamma=90.00
Space group I4/m (No. 87)
Unique sites:
Hf (0.000, 0.000, 0.000) x2
Ti (0.090, 0.383, 0.500) x8
Sb (0.150, 0.281, 0.000) x8


Record 2
# PrEr12Th5
Calculated powder X-ray diffraction pattern, a wavelength of 1.5418 Å. Input: a crystal structure in Alexandria, relaxed with GGA-PBE.

Peak list (6 most intense, 5° ≤ 2θ ≤ 70°, low angle first)
| two_theta | d (Å) | I_rel | index |
| --- | --- | --- | --- |
| 31.7 | 2.822 | 98.8 | 4 0 -2 |
| 32.0 | 2.794 | 100.0 | 3 3 0 |
| 45.7 | 1.986 | 36.6 | 2 0 2 |
| 56.9 | 1.619 | 38.5 | 2 6 2 |
| 57.1 | 1.613 | 19.7 | 6 0 0 |
| 63.0 | 1.475 | 29.3 | 7 3 -4 |

Structure:
Unit cell a=11.921 b=16.752 c=6.946 alpha=90.00 beta=125.64 gamma=90.00
Space group C2/m (No. 12)
Unique sites:
Pr (0.000, 0.000, 0.000) x2
Er (0.165, 0.500, 0.915) x4
Er (0.166, 0.500, 0.413) x4
Er (0.167, 0.167, 0.416) x8
Er (0.167, 0.167, 0.915) x8
Th (0.000, 0.000, 0.500) x2
Th (0.000, 0.332, 0.000) x4
Th (0.000, 0.334, 0.500) x4


Record 3
# HoEr3Tm5
Calculated powder X-ray diffraction pattern, a wavelength of 1.5418 Å. Input: a crystal structure in Alexandria, relaxed with GGA-PBE.

Peak list (6 most intense, 5° ≤ 2θ ≤ 70°, low angle first)
| two_theta | d (Å) | I_rel | index |
| --- | --- | --- | --- |
| 30.0 | 2.981 | 61.2 | 0 1 3 |
| 31.2 | 2.867 | 100.0 | 2 3 1 |
| 31.4 | 2.845 | 60.1 | 0 6 0 |
| 33.6 | 2.664 | 67.2 | 2 2 2 |
| 39.8 | 2.265 | 36.0 | 0 5 3 |
| 59.4 | 1.557 | 34.3 | 2 3 5 |

Structure:
Unit cell a=7.130 b=17.071 c=9.082 alpha=90.00 beta=90.00 gamma=90.00
Space group Imma (No. 74)
Unique sites:
Ho (0.000, 0.250, 0.053) x4
Er (0.000, 0.062, 0.749) x8
Er (0.250, 0.250, 0.750) x4
Tm (0.000, 0.250, 0.413) x4
Tm (0.248, 0.088, 0.068) x16


Record 4
# HfPdAu2
Calculated powder X-ray diffraction pattern, a wavelength of 1.5418 Å. Input: a crystal structure in Alexandria, relaxed with GGA-PBE.

Peak list (6 most intense, 5° ≤ 2θ ≤ 70°, low angle first)
| two_theta | d (Å) | I_rel | index |
| --- | --- | --- | --- |
| 23.4 | 3.803 | 2.3 | 1 1 1 |
| 27.1 | 3.294 | 3.3 | 2 0 0 |
| 38.7 | 2.329 | 100.0 | 2 2 0 |
| 55.8 | 1.647 | 17.3 | 4 0 0 |
| 63.1 | 1.473 | 1.4 | 4 2 0 |
| 70.0 | 1.345 | 35.5 | 4 2 2 |

Structure:
Unit cell a=6.587 b=6.587 c=6.587 alpha=90.00 beta=90.00 gamma=90.00
Space group Fm-3m (No. 225)
Unique sites:
Hf (0.000, 0.000, 0.000) x4
Pd (0.000, 0.000, 0.500) x4
Au (0.250, 0.250, 0.250) x8


What is the formula in the fourth record?
HfPdAu2